Theoretical XRD peak list of RbAu2 for λ = 1.5418 Å (Cu Kα), from a GGA-PBE-relaxed structure.
Peak positions follow from Bragg's law for the DFT cell and can differ from measured ones.

Crystal structure
a b c (Å): 8.4329 8.4329 8.4329
angles (deg): 90.00 90.00 90.00
Space group Fd-3m (No. 227, origin choice 2)
Unique sites:
Rb: 0.1250 0.1250 0.1250 (multiplicity 8)
Au: 0.0000 0.0000 0.5000 (multiplicity 16)

Main lines, sorted by position (2θ from 10° to 80°):
2θ 18.22, I = 45, (1 1 1)
2θ 35.30, I = 100, (3 1 1)
2θ 36.92, I = 69, (2 2 2)
2θ 42.90, I = 21, (4 0 0)
2θ 46.97, I = 13, (3 3 1)
2θ 56.72, I = 34, (5 1 1)
2θ 62.28, I = 34, (4 4 0)
2θ 74.66, I = 28, (6 2 2)